Computed powder X-ray diffraction pattern of Ba4Al5Ga2 for λ = 1.5418 Å (Cu Kα), from DFT lattice parameters and positions (GGA-PBE).

The 6 most intense peaks (5 to 70 degrees two-theta), low angle first:
| Position (°2θ) | d [Å] | Rel. int. |
| --- | --- | --- |
| 27.0 | 3.302 | 94 |
| 31.2 | 2.865 | 100 |
| 31.4 | 2.852 | 52 |
| 32.3 | 2.773 | 47 |
| 32.9 | 2.719 | 72 |
| 35.6 | 2.523 | 62 |

Crystal structure
```
11
Lattice="8.7650 0.0000 0.0000 0.0000 3.7885 0.0000 -0.3178 0.0000 10.1484" Properties=species:S:1:pos:R:3 pbc="T T T"
Ba 1.4826 0.0000 1.2725
Ba 2.3762 0.0000 5.2508
Ba 6.0710 0.0000 4.8976
Ba 6.9646 0.0000 8.8759
Al 1.5773 1.8942 8.3211
Al 4.2546 1.8942 2.5764
Al 4.3825 1.8942 0.0000
Al 4.1926 1.8942 7.5720
Al 6.8700 1.8942 1.8274
Ga -0.0635 1.8942 3.7479
Ga 8.5107 1.8942 6.4005
```

Computed powder X-ray diffraction pattern of Ba4AlGa3 for λ = 1.5418 Å (Cu Kα), from DFT lattice parameters and positions (GGA-PBE).

The 6 most intense peaks (5 to 70 degrees two-theta), low angle first:
| Position (°2θ) | d [Å] | Rel. int. |
| --- | --- | --- |
| 24.4 | 3.645 | 32 |
| 26.8 | 3.330 | 100 |
| 28.1 | 3.173 | 68 |
| 34.0 | 2.634 | 32 |
| 34.3 | 2.613 | 36 |
| 48.9 | 1.864 | 29 |

Crystal structure
```
8
Lattice="4.6066 0.0000 0.0000 0.0000 5.2687 0.0000 0.0000 0.0000 11.9253" Properties=species:S:1:pos:R:3 pbc="T T T"
Ba 0.0000 0.0000 0.0000
Ba 0.0000 2.6344 5.9025
Ba 2.3033 0.0000 8.4285
Ba 2.3033 2.6344 2.4811
Al 0.0000 2.6344 9.5791
Ga 0.0000 0.0000 3.5664
Ga 2.3033 0.0000 4.8243
Ga 2.3033 2.6344 10.8112
```

Computed powder X-ray diffraction pattern of Ba3Al7Ga4 for λ = 1.5418 Å (Cu Kα), from DFT lattice parameters and positions (GGA-PBE).

The 6 most intense peaks (5 to 70 degrees two-theta), low angle first:
| Position (°2θ) | d [Å] | Rel. int. |
| --- | --- | --- |
| 21.0 | 4.237 | 19 |
| 27.7 | 3.226 | 28 |
| 32.2 | 2.778 | 100 |
| 32.9 | 2.724 | 44 |
| 34.1 | 2.633 | 24 |
| 39.5 | 2.280 | 50 |

Crystal structure
```
14
Lattice="8.5125 -2.2784 0.0000 8.5125 2.2784 0.0000 -6.2508 0.0000 8.4723" Properties=species:S:1:pos:R:3 pbc="T T T"
Ba 0.0000 0.0000 0.0000
Ba 3.3286 0.0000 2.6312
Ba 7.4455 0.0000 5.8411
Al -3.1254 0.0000 4.2362
Al -0.1688 0.0000 3.5559
Al -0.4335 0.0000 8.2773
Al 6.7171 0.0000 2.4320
Al 4.0571 0.0000 6.0403
Al 11.2077 0.0000 0.1950
Al 10.9429 0.0000 4.9165
Ga -3.0339 0.0000 7.2946
Ga 1.3975 0.0000 5.9919
Ga 9.3767 0.0000 2.4804
Ga 13.8081 0.0000 1.1777
```

Computed powder X-ray diffraction pattern of Ba2AlGa4 for λ = 1.5418 Å (Cu Kα), from DFT lattice parameters and positions (GGA-PBE).

The 6 most intense peaks (5 to 70 degrees two-theta), low angle first:
| Position (°2θ) | d [Å] | Rel. int. |
| --- | --- | --- |
| 26.8 | 3.321 | 49 |
| 30.1 | 2.973 | 100 |
| 33.0 | 2.716 | 46 |
| 33.9 | 2.647 | 84 |
| 34.1 | 2.629 | 51 |
| 40.7 | 2.217 | 68 |

Crystal structure
```
14
Lattice="6.4545 0.0000 0.0000 0.0000 6.6417 0.0000 -2.8094 0.0000 8.6073" Properties=species:S:1:pos:R:3 pbc="T T T"
Ba -0.4005 1.6604 3.4057
Ba 1.5635 4.9813 0.2266
Ba 2.0817 1.6604 8.3807
Ba 4.0456 4.9813 5.2017
Al -1.1264 1.6604 6.7248
Al 4.7715 4.9813 1.8825
Ga 1.6357 1.6604 0.8233
Ga 0.7546 4.9813 3.5350
Ga 0.7969 3.5273 5.9407
Ga 0.7969 6.4353 5.9407
Ga 2.8482 0.2064 2.6666
Ga 2.8482 3.1145 2.6666
Ga 2.8905 1.6604 5.0724
Ga 2.0094 4.9813 7.7841
```

Computed powder X-ray diffraction pattern of BaAl3Ga3 for λ = 1.5418 Å (Cu Kα), from DFT lattice parameters and positions (GGA-PBE).

The 6 most intense peaks (5 to 70 degrees two-theta), low angle first:
| Position (°2θ) | d [Å] | Rel. int. |
| --- | --- | --- |
| 28.1 | 3.172 | 87 |
| 29.7 | 3.005 | 100 |
| 31.7 | 2.819 | 76 |
| 34.8 | 2.578 | 48 |
| 36.6 | 2.458 | 82 |
| 36.7 | 2.447 | 62 |

Crystal structure
```
14
Lattice="7.5957 0.0000 0.0000 0.0000 4.9167 0.0000 -3.6832 0.0000 8.3027" Properties=species:S:1:pos:R:3 pbc="T T T"
Ba 1.3506 1.2292 1.1533
Ba 2.5618 3.6876 7.1494
Al -1.0547 1.2292 3.7959
Al 0.0501 3.6876 4.8436
Al -0.0538 1.2292 6.6761
Al 3.9662 3.6876 1.6266
Al 3.8624 1.2292 3.4591
Al 4.9671 3.6876 4.5068
Ga -0.9789 3.6876 2.2920
Ga -1.2177 3.6876 7.2391
Ga 1.5262 1.2292 4.6561
Ga 2.3862 3.6876 3.6466
Ga 5.1301 1.2292 1.0636
Ga 4.8914 1.2292 6.0107
```

Computed powder X-ray diffraction pattern of Ba3Al5Ga2 for λ = 1.5418 Å (Cu Kα), from DFT lattice parameters and positions (GGA-PBE).

The 6 most intense peaks (5 to 70 degrees two-theta), low angle first:
| Position (°2θ) | d [Å] | Rel. int. |
| --- | --- | --- |
| 10.1 | 8.801 | 52 |
| 29.8 | 3.001 | 100 |
| 30.1 | 2.972 | 94 |
| 30.8 | 2.904 | 94 |
| 36.4 | 2.466 | 48 |
| 36.8 | 2.445 | 49 |

Crystal structure
```
20
Lattice="7.8515 -5.6032 0.0000 7.8515 5.6032 0.0000 -2.8846 0.0000 6.1500" Properties=species:S:1:pos:R:3 pbc="T T T"
Ba 5.6880 5.4921 4.6125
Ba 3.3322 2.6000 5.3938
Ba 8.0438 2.6000 3.8312
Ba 4.7745 -2.6000 2.3188
Ba 9.4861 -2.6000 0.7562
Ba 7.1303 -5.4921 1.5375
Al 3.9091 0.0026 0.0311
Al 2.4668 -0.0026 3.1061
Al 4.7991 1.3527 2.3185
Al 3.3567 -1.3527 5.3935
Al 7.1303 -0.0024 1.5375
Al 5.6880 0.0024 4.6125
Al 9.4616 1.3527 0.7565
Al 8.0193 -1.3527 3.8315
Al 10.3515 0.0026 3.0439
Al 8.9092 -0.0026 6.1189
Ga 0.4850 1.6308 4.0620
Ga 1.9274 -1.6308 0.9870
Ga 10.8910 1.6308 5.1629
Ga 12.3333 -1.6308 2.0879
```

Computed powder X-ray diffraction pattern of BaAl3Ga for λ = 1.5418 Å (Cu Kα), from DFT lattice parameters and positions (GGA-PBE).

The 6 most intense peaks (5 to 70 degrees two-theta), low angle first:
| Position (°2θ) | d [Å] | Rel. int. |
| --- | --- | --- |
| 27.8 | 3.209 | 53 |
| 30.8 | 2.899 | 100 |
| 32.1 | 2.790 | 93 |
| 39.7 | 2.269 | 53 |
| 44.8 | 2.024 | 43 |
| 51.1 | 1.787 | 47 |

Crystal structure
```
5
Lattice="0.0000 3.2109 5.6527 3.2063 0.0000 5.6527 3.2063 3.2109 0.0000" Properties=species:S:1:pos:R:3 pbc="T T T"
Ba 0.0000 0.0000 0.0000
Al 1.6031 1.6055 2.8011
Al 3.2063 3.2109 4.2904
Al 4.8094 4.8164 8.4538
Ga 3.2063 3.2109 6.9798
```

Computed powder X-ray diffraction pattern of Ba3Al3Ga2 for λ = 1.5418 Å (Cu Kα), from DFT lattice parameters and positions (GGA-PBE).

The 6 most intense peaks (5 to 70 degrees two-theta), low angle first:
| Position (°2θ) | d [Å] | Rel. int. |
| --- | --- | --- |
| 29.8 | 3.000 | 100 |
| 32.2 | 2.776 | 11 |
| 38.7 | 2.325 | 17 |
| 42.6 | 2.122 | 12 |
| 52.9 | 1.731 | 27 |
| 58.9 | 1.568 | 18 |

Crystal structure
```
16
Lattice="5.9954 0.0000 0.0000 -2.9977 5.1922 0.0000 0.0000 0.0000 14.7261" Properties=species:S:1:pos:R:3 pbc="T T T"
Ba 0.0000 0.0000 0.0000
Ba 0.0000 0.0000 7.3630
Ba 0.0000 3.4614 1.8264
Ba 0.0000 3.4614 5.5366
Ba 2.9977 1.7307 9.1894
Ba 2.9977 1.7307 12.8996
Al 0.0000 1.6371 11.0445
Al -1.5799 4.3736 11.0445
Al 1.4178 0.8185 3.6815
Al 1.5799 4.3736 11.0445
Al 4.5776 0.8185 3.6815
Al 2.9977 3.5551 3.6815
Ga 0.0000 3.4614 9.0331
Ga 0.0000 3.4614 13.0559
Ga 2.9977 1.7307 1.6701
Ga 2.9977 1.7307 5.6929
```